Cu6Mo5O18: simulated powder diffractogram (λ = 1.5418 Å (Cu Kα)), based on a crystal structure in Alexandria, relaxed with GGA+U.
Kinematic intensities with the Lorentz-polarization factor, no thermal factor.

Top 10 peaks for 2θ from 10° to 90°, by angle:
24.09 deg, I = 26.4, hkl 1 1 -3
27.74 deg, I = 65.1, hkl 5 1 -3
29.29 deg, I = 31.5, hkl 0 2 1
29.83 deg, I = 35.7, hkl 2 2 -1
29.93 deg, I = 41.4, hkl 5 1 -4
30.30 deg, I = 100.0, hkl 1 1 3
30.52 deg, I = 24.7, hkl 1 1 -4
33.07 deg, I = 28.8, hkl 5 1 0
53.17 deg, I = 27.4, hkl 5 3 0
63.54 deg, I = 25.7, hkl 6 2 -9

Crystal structure
```
data_Cu6Mo5O18
_symmetry_space_group_name_H-M 'C 1 2/c 1'
_symmetry_Int_Tables_number 15
_cell_length_a 19.007
_cell_length_b 6.313
_cell_length_c 14.967
_cell_angle_alpha 90.00
_cell_angle_beta 127.93
_cell_angle_gamma 90.00
loop_
_symmetry_equiv_pos_as_xyz
'x,y,z'
'-x,-y,-z'
'-x,y,-z+1/2'
'x,-y,z+1/2'
'x+1/2,y+1/2,z'
'-x+1/2,-y+1/2,-z'
'-x+1/2,y+1/2,-z+1/2'
'x+1/2,-y+1/2,z+1/2'
loop_
_atom_site_label
_atom_site_fract_x
_atom_site_fract_y
_atom_site_fract_z
_atom_site_occupancy
Cu1 0.119 0.131 0.161 1
Cu2 0.159 0.052 0.912 1
Cu3 0.213 0.377 0.850 1
Mo1 0.000 0.318 0.250 1
Mo2 0.006 0.335 0.595 1
Mo3 0.179 0.370 0.591 1
O1 0.064 0.145 0.909 1
O2 0.065 0.397 0.410 1
O3 0.079 0.419 0.748 1
O4 0.080 0.412 0.072 1
O5 0.082 0.142 0.265 1
O6 0.086 0.167 0.594 1
O7 0.219 0.139 0.563 1
O8 0.236 0.411 0.077 1
O9 0.247 0.368 0.745 1
```